No. 1
SrPu2CuN4: simulated X-ray powder pattern (a wavelength of 1.5418 Å), based on a GGA-PBE-relaxed structure.
Kinematic intensities with the Lorentz-polarization factor, no thermal factor.

Crystal structure
```
SrPu2CuN4
1.0
1.758 -5.745 0.000
1.758 5.745 0.000
0.000 0.000 11.489
Sr Pu Cu N
2 4 2 8
Direct
0.096 0.904 0.750
0.904 0.096 0.250
0.369 0.631 0.557
0.369 0.631 0.943
0.631 0.369 0.057
0.631 0.369 0.443
0.176 0.824 0.250
0.824 0.176 0.750
0.000 0.000 0.000
0.000 0.000 0.500
0.256 0.744 0.100
0.256 0.744 0.400
0.425 0.575 0.750
0.575 0.425 0.250
0.744 0.256 0.600
0.744 0.256 0.900
```

Top 6 peaks for 15° ≤ 2θ ≤ 90°, in order of rising 2θ:
2θ/deg	d/Å	I_rel
28.0	3.187	100
30.8	2.902	88
31.1	2.873	66
35.5	2.527	80
38.1	2.361	72
53.3	1.719	65

---

No. 2
RbTl2CuN: simulated X-ray powder pattern (a wavelength of 1.5418 Å), based on a GGA-PBE-relaxed structure.
Kinematic intensities with the Lorentz-polarization factor, no thermal factor.

Crystal structure
```
RbTl2CuN
1.0
4.946 0.000 0.000
0.000 4.946 0.000
0.000 0.000 5.855
Rb Tl Cu N
1 2 1 1
Direct
0.000 0.000 0.000
0.000 0.500 0.500
0.500 0.000 0.500
0.500 0.500 0.000
0.000 0.000 0.500
```

Top 6 peaks for 15° ≤ 2θ ≤ 90°, in order of rising 2θ:
2θ/deg	d/Å	I_rel
15.1	5.855	27
29.8	3.003	100
30.5	2.927	26
36.3	2.473	33
48.2	1.889	29
61.3	1.511	26

---

No. 3
Cu5S4N2: simulated X-ray powder pattern (a wavelength of 1.5418 Å), based on a GGA-PBE-relaxed structure.
Kinematic intensities with the Lorentz-polarization factor, no thermal factor.

Crystal structure
```
Cu5S4N2
1.0
3.797 0.000 0.000
-1.069 6.874 0.000
-1.781 -1.691 6.570
Cu S N
5 4 2
Direct
0.000 0.000 0.000
0.396 0.852 0.583
0.470 0.612 0.848
0.530 0.388 0.152
0.604 0.148 0.417
0.042 0.249 0.269
0.278 0.809 0.244
0.722 0.191 0.756
0.958 0.751 0.731
0.500 0.335 0.854
0.500 0.665 0.146
```

Top 6 peaks for 15° ≤ 2θ ≤ 90°, in order of rising 2θ:
2θ/deg	d/Å	I_rel
21.2	4.184	77
27.0	3.298	100
30.8	2.904	91
39.5	2.282	47
43.3	2.091	93
55.6	1.652	48